Simulated powder X-ray diffraction pattern of YTl2TeO6 for Cu Kα (λ = 1.5418 Å), from a GGA-PBE-relaxed structure.

Largest 10 diffraction maxima, in order of rising 2θ, 10° ≤ 2θ ≤ 90°:
| 2θ (°) | d [Å] | Rel. int. | (hkl) |
| --- | --- | --- | --- |
| 21.13 | 4.205 | 7 | 1 0 1 |
| 30.05 | 2.974 | 100 | 2 0 0 |
| 37.03 | 2.428 | 9 | 2 2 0 |
| 43.02 | 2.103 | 28 | 2 0 2 |
| 48.40 | 1.881 | 4 | 3 0 1 |
| 53.37 | 1.717 | 41 | 3 2 1 |
| 62.47 | 1.487 | 18 | 4 0 0 |
| 70.86 | 1.330 | 18 | 4 0 2 |
| 78.85 | 1.214 | 6 | 4 4 0 |
| 86.62 | 1.124 | 22 | 5 2 1 |

```
data_YTl2TeO6
_cell_length_a 5.947
_cell_length_b 8.413
_cell_length_c 5.946
_cell_angle_alpha 90.00
_cell_angle_beta 90.00
_cell_angle_gamma 90.00
_symmetry_space_group_name_H-M 'P m m n'
_symmetry_Int_Tables_number 59
loop_
_symmetry_equiv_pos_as_xyz
'x,y,z'
'-x,-y,-z'
'-x+1/2,-y+1/2,z'
'x+1/2,y+1/2,-z'
'x+1/2,-y,-z'
'-x+1/2,y,z'
'-x,y+1/2,-z'
'x,-y+1/2,z'
loop_
_atom_site_label
_atom_site_type_symbol
_atom_site_fract_x
_atom_site_fract_y
_atom_site_fract_z
_atom_site_occupancy
Y1 Y 0.250 0.250 0.250 1
Tl1 Tl 0.250 0.000 0.749 1
Te1 Te 0.250 0.750 0.250 1
O1 O 0.018 0.750 0.018 1
O2 O 0.018 0.750 0.482 1
O3 O 0.250 0.518 0.250 1
```